# 1
Diffraction record for Ti4Zn5Au6. The powder diffractogram is theoretical, not measured: it uses a structure optimized by DFT (PBE) and Cu Kα.

Largest 12 diffraction maxima, by intensity, 2θ from 10° to 90°:
- 2θ 31.66, 2.826 Å, I 100
- 2θ 41.15, 2.194 Å, I 92
- 2θ 37.31, 2.410 Å, I 87
- 2θ 40.17, 2.245 Å, I 86
- 2θ 43.12, 2.098 Å, I 83
- 2θ 41.57, 2.173 Å, I 80
- 2θ 39.82, 2.264 Å, I 68
- 2θ 20.16, 4.405 Å, I 65
- 2θ 37.91, 2.374 Å, I 59
- 2θ 36.15, 2.485 Å, I 59
- 2θ 39.20, 2.298 Å, I 54
- 2θ 31.32, 2.856 Å, I 53

Structure:
```
30
Lattice="1.566 -10.982 0.000 1.566 10.982 0.000 0.000 0.000 14.760" Properties=species:S:1:pos:R:3 pbc="T T T"
Ti 1.566 10.556 7.380
Ti 1.566 9.506 11.321
Ti 1.566 8.381 3.893
Ti 1.566 6.841 14.132
Ti 1.566 -6.841 6.752
Ti 1.566 -8.381 11.273
Ti 1.566 -9.506 3.941
Ti 1.566 -10.556 0.000
Zn 1.566 6.768 9.908
Zn 1.566 4.210 9.289
Zn 1.566 3.843 4.494
Zn 1.566 2.785 13.786
Zn 1.566 0.366 9.773
Zn 1.566 -0.366 2.393
Zn 1.566 -2.785 6.406
Zn 1.566 -3.843 11.874
Zn 1.566 -4.210 1.909
Zn 1.566 -6.768 2.528
Au 1.566 8.841 1.246
Au 1.566 6.251 7.397
Au 1.566 4.851 11.929
Au 1.566 2.199 1.660
Au 1.566 1.853 6.238
Au 1.566 0.616 12.392
Au 1.566 -0.616 5.012
Au 1.566 -1.853 13.618
Au 1.566 -2.199 9.040
Au 1.566 -4.851 4.549
Au 1.566 -6.251 0.017
Au 1.566 -8.841 8.626
```

# 2
Diffraction record for Ti5Zn4Au4. The powder diffractogram is theoretical, not measured: it uses a structure optimized by DFT (PBE) and Cu Kα.

Largest 12 diffraction maxima, by intensity, 2θ from 10° to 90°:
- 2θ 38.68, 2.328 Å, I 100
- 2θ 43.63, 2.075 Å, I 38
- 2θ 76.80, 1.241 Å, I 23
- 2θ 30.05, 2.974 Å, I 22
- 2θ 66.51, 1.406 Å, I 22
- 2θ 16.76, 5.289 Å, I 21
- 2θ 26.65, 3.345 Å, I 20
- 2θ 47.56, 1.912 Å, I 14
- 2θ 82.52, 1.169 Å, I 11
- 2θ 63.41, 1.467 Å, I 11
- 2θ 82.97, 1.164 Å, I 10
- 2θ 24.76, 3.596 Å, I 8

Structure:
```
13
Lattice="-5.289 5.289 1.912 5.289 -5.289 1.912 5.289 5.289 -1.912" Properties=species:S:1:pos:R:3 pbc="T T T"
Ti 0.000 0.000 0.000
Ti 5.773 3.251 0.000
Ti 3.251 4.805 0.000
Ti 2.038 0.484 1.912
Ti -0.484 2.038 1.912
Zn 4.142 0.797 0.000
Zn 4.492 -1.148 1.912
Zn 0.797 6.437 0.000
Zn 1.148 4.492 1.912
Au 8.056 1.514 0.000
Au 1.514 2.523 0.000
Au 3.776 2.766 1.912
Au -2.766 3.776 1.912
```

# 3
Diffraction record for TlAu2. The powder diffractogram is theoretical, not measured: it uses a structure optimized by DFT (PBE) and Cu Kα.

Largest 12 diffraction maxima, by intensity, 2θ from 10° to 90°:
- 2θ 37.44, 2.402 Å, I 100
- 2θ 46.56, 1.951 Å, I 27
- 2θ 36.80, 2.442 Å, I 26
- 2θ 60.77, 1.524 Å, I 25
- 2θ 80.26, 1.196 Å, I 23
- 2θ 29.30, 3.048 Å, I 21
- 2θ 22.79, 3.901 Å, I 20
- 2θ 66.70, 1.402 Å, I 19
- 2θ 18.16, 4.885 Å, I 16
- 2θ 79.87, 1.201 Å, I 12
- 2θ 67.96, 1.379 Å, I 9
- 2θ 32.46, 2.759 Å, I 8

Structure:
```
3
Lattice="3.901 0.000 0.000 0.000 3.901 0.000 0.000 0.000 4.885" Properties=species:S:1:pos:R:3 pbc="T T T"
Tl 0.000 0.000 0.000
Au 0.000 1.951 2.442
Au 1.951 0.000 2.442
```

# 4
Diffraction record for TlAu4. The powder diffractogram is theoretical, not measured: it uses a structure optimized by DFT (PBE) and Cu Kα.

Largest 12 diffraction maxima, by intensity, 2θ from 10° to 90°:
- 2θ 37.73, 2.384 Å, I 100
- 2θ 34.29, 2.615 Å, I 47
- 2θ 39.41, 2.286 Å, I 42
- 2θ 37.30, 2.411 Å, I 35
- 2θ 20.09, 4.420 Å, I 29
- 2θ 41.99, 2.152 Å, I 27
- 2θ 30.48, 2.933 Å, I 25
- 2θ 38.10, 2.362 Å, I 20
- 2θ 25.47, 3.497 Å, I 20
- 2θ 70.35, 1.338 Å, I 19
- 2θ 49.38, 1.845 Å, I 14
- 2θ 72.53, 1.303 Å, I 14

Structure:
```
10
Lattice="8.978 0.000 0.000 0.000 5.588 0.000 -3.679 0.000 4.573" Properties=species:S:1:pos:R:3 pbc="T T T"
Tl 0.000 0.000 0.000
Tl 4.489 2.794 0.000
Au -1.840 1.403 2.286
Au -1.840 4.185 2.286
Au 1.418 2.794 0.148
Au -0.608 0.000 4.424
Au 2.649 1.391 2.286
Au 2.649 4.197 2.286
Au 5.906 0.000 0.148
Au 3.881 2.794 4.424
```

# 5
Diffraction record for Tl3Au5. The powder diffractogram is theoretical, not measured: it uses a structure optimized by DFT (PBE) and Cu Kα.

Largest 12 diffraction maxima, by intensity, 2θ from 10° to 90°:
- 2θ 37.76, 2.382 Å, I 100
- 2θ 37.33, 2.409 Å, I 87
- 2θ 36.44, 2.466 Å, I 77
- 2θ 31.24, 2.863 Å, I 42
- 2θ 39.19, 2.299 Å, I 39
- 2θ 33.58, 2.669 Å, I 39
- 2θ 30.29, 2.951 Å, I 34
- 2θ 32.36, 2.767 Å, I 34
- 2θ 34.17, 2.624 Å, I 32
- 2θ 34.64, 2.589 Å, I 32
- 2θ 43.48, 2.081 Å, I 28
- 2θ 39.88, 2.261 Å, I 27

Structure:
```
16
Lattice="5.405 0.000 0.000 1.721 7.495 0.000 1.822 0.283 9.197" Properties=species:S:1:pos:R:3 pbc="T T T"
Tl 0.662 0.236 1.750
Tl 2.968 5.060 3.924
Tl 3.366 1.388 3.438
Tl 5.582 6.390 5.760
Tl 5.980 2.719 5.273
Tl 8.286 7.542 7.447
Au 2.617 4.602 6.769
Au 1.497 5.086 0.299
Au 3.366 1.792 6.433
Au 3.683 3.609 1.491
Au 4.707 1.670 9.040
Au 4.241 6.109 0.158
Au 5.265 4.170 7.706
Au 5.583 5.986 2.765
Au 7.451 2.692 8.898
Au 6.331 3.176 2.429
```

# 6
Diffraction record for Tl7Au5. The powder diffractogram is theoretical, not measured: it uses a structure optimized by DFT (PBE) and Cu Kα.

Largest 12 diffraction maxima, by intensity, 2θ from 10° to 90°:
- 2θ 30.86, 2.898 Å, I 100
- 2θ 32.06, 2.792 Å, I 89
- 2θ 36.20, 2.482 Å, I 75
- 2θ 37.57, 2.394 Å, I 25
- 2θ 37.27, 2.413 Å, I 21
- 2θ 39.64, 2.274 Å, I 19
- 2θ 40.50, 2.227 Å, I 18
- 2θ 49.37, 1.846 Å, I 18
- 2θ 52.76, 1.735 Å, I 16
- 2θ 48.22, 1.887 Å, I 14
- 2θ 67.60, 1.386 Å, I 12
- 2θ 37.46, 2.401 Å, I 11

Structure:
```
12
Lattice="5.899 -4.788 0.000 5.899 4.788 0.000 -3.991 0.000 5.591" Properties=species:S:1:pos:R:3 pbc="T T T"
Tl 0.000 0.000 0.000
Tl 3.041 1.812 0.038
Tl 5.777 1.888 2.479
Tl 3.041 -1.812 0.038
Tl 2.095 0.000 5.440
Tl 5.777 -1.888 2.479
Tl 9.125 0.000 2.205
Au 2.560 2.451 3.827
Au 0.196 0.000 3.087
Au 3.047 0.000 2.397
Au 2.560 -2.451 3.827
Au 4.988 0.000 4.731
```

# 7
Diffraction record for Tl5Au3. The powder diffractogram is theoretical, not measured: it uses a structure optimized by DFT (PBE) and Cu Kα.

Largest 12 diffraction maxima, by intensity, 2θ from 10° to 90°:
- 2θ 34.06, 2.633 Å, I 100
- 2θ 31.83, 2.812 Å, I 90
- 2θ 34.55, 2.596 Å, I 75
- 2θ 41.78, 2.162 Å, I 61
- 2θ 27.34, 3.262 Å, I 51
- 2θ 29.86, 2.992 Å, I 43
- 2θ 31.46, 2.844 Å, I 40
- 2θ 42.25, 2.139 Å, I 28
- 2θ 48.21, 1.887 Å, I 22
- 2θ 31.04, 2.881 Å, I 21
- 2θ 40.79, 2.212 Å, I 19
- 2θ 65.67, 1.422 Å, I 19

Structure:
```
16
Lattice="7.722 0.000 0.000 0.000 12.982 0.000 0.000 0.000 4.324" Properties=species:S:1:pos:R:3 pbc="T T T"
Tl 0.000 0.000 0.000
Tl 1.316 3.870 0.000
Tl 1.433 7.828 2.162
Tl 2.429 1.337 2.162
Tl 2.545 10.361 0.000
Tl 3.861 6.491 0.000
Tl 5.177 2.621 0.000
Tl 5.294 11.645 2.162
Tl 6.290 5.154 2.162
Tl 6.406 9.112 0.000
Au 0.000 6.491 0.000
Au 0.420 10.747 2.162
Au 3.441 4.256 2.162
Au 3.861 0.000 0.000
Au 4.281 8.726 2.162
Au 7.302 2.235 2.162
```

# 8
Diffraction record for TlAu. The powder diffractogram is theoretical, not measured: it uses a structure optimized by DFT (PBE) and Cu Kα.

Largest 12 diffraction maxima, by intensity, 2θ from 10° to 90°:
- 2θ 32.36, 2.766 Å, I 100
- 2θ 40.13, 2.247 Å, I 76
- 2θ 36.55, 2.459 Å, I 64
- 2θ 32.62, 2.745 Å, I 41
- 2θ 49.61, 1.838 Å, I 36
- 2θ 28.23, 3.161 Å, I 31
- 2θ 65.94, 1.417 Å, I 27
- 2θ 46.42, 1.956 Å, I 26
- 2θ 67.90, 1.380 Å, I 23
- 2θ 11.31, 7.824 Å, I 22
- 2θ 74.95, 1.267 Å, I 21
- 2θ 65.48, 1.425 Å, I 19

Structure:
```
16
Lattice="11.065 0.000 0.000 0.000 11.065 0.000 0.000 0.000 3.299" Properties=species:S:1:pos:R:3 pbc="T T T"
Tl 1.541 1.716 0.000
Tl 1.716 9.524 0.000
Tl 3.816 7.074 1.649
Tl 3.991 3.816 1.649
Tl 7.074 7.248 1.649
Tl 7.248 3.991 1.649
Tl 9.349 1.541 0.000
Tl 9.524 9.349 0.000
Au 1.052 4.219 1.649
Au 1.314 6.584 0.000
Au 4.219 10.013 1.649
Au 4.481 1.314 0.000
Au 6.584 9.751 0.000
Au 6.846 1.052 1.649
Au 9.751 4.481 0.000
Au 10.013 6.846 1.649
```